Starting from a crystal structure in OQMD, relaxed with PBE, the powder X-ray diffraction pattern of PmPrS2Cl2 was simulated for copper Kα.
Neutral-atom scattering factors, no anomalous dispersion.

Structural model:
Cell: 4.870 4.870 6.807 Å, 90.00 90.00 90.00°
Atoms (fractional coordinates):
Pm (0.000, 0.000, 0.000)
Pr (0.500, 0.500, 0.598)
S (0.000, 0.500, 0.804)
S (0.500, 0.000, 0.804)
Cl (0.000, 0.000, 0.399)
Cl (0.500, 0.500, 0.196)

Largest 10 diffraction maxima, by angle, 10 to 80 degrees two-theta:
2θ (°)  I_rel
13.0  16
22.4  100
25.9  58
32.1  43
36.9  47
37.1  41
43.6  36
44.0  18
48.0  18
49.7  24

=====

Starting from a crystal structure in OQMD, relaxed with PBE, the powder X-ray diffraction pattern of AgSnS6 was simulated for copper Kα.
Neutral-atom scattering factors, no anomalous dispersion.

Structural model:
Cell: 6.305 6.305 6.305 Å, 60.00 60.00 60.00°
Atoms (fractional coordinates):
Ag (0.000, 0.000, 0.000)
Sn (0.750, 0.750, 0.750)
S (0.280, 0.280, 0.720)
S (0.280, 0.720, 0.280)
S (0.280, 0.720, 0.720)
S (0.720, 0.280, 0.280)
S (0.720, 0.280, 0.720)
S (0.720, 0.720, 0.280)

Largest 10 diffraction maxima, by angle, 10 to 80 degrees two-theta:
2θ (°)  I_rel
17.2  100
28.3  71
33.3  90
34.9  33
40.5  74
44.3  59
50.1  25
53.4  28
58.6  44
61.5  23

=====

Starting from a crystal structure in OQMD, relaxed with PBE, the powder X-ray diffraction pattern of HfZrGa2 was simulated for copper Kα.
Neutral-atom scattering factors, no anomalous dispersion.

Structural model:
Cell: 10.548 10.548 10.548 Å, 158.94 158.94 29.96°
Atoms (fractional coordinates):
Hf (0.000, 0.000, 0.000)
Hf (0.750, 0.250, 0.500)
Zr (0.355, 0.855, 0.500)
Zr (0.605, 0.605, 0.000)
Ga (0.137, 0.137, 0.000)
Ga (0.218, 0.718, 0.500)
Ga (0.468, 0.468, 0.000)
Ga (0.887, 0.387, 0.500)

Largest 10 diffraction maxima, by angle, 10 to 80 degrees two-theta:
2θ (°)  I_rel
32.0  28
34.0  100
35.2  25
38.8  34
42.5  46
47.1  42
60.2  21
62.6  16
68.9  13
79.1  17

=====

Starting from a crystal structure in OQMD, relaxed with PBE, the powder X-ray diffraction pattern of LaTaO4 was simulated for copper Kα.
Neutral-atom scattering factors, no anomalous dispersion.

Structural model:
Cell: 7.529 7.962 10.997 Å, 90.00 90.00 90.00°
Atoms (fractional coordinates):
La (0.246, 0.125, 0.028)
La (0.246, 0.375, 0.528)
La (0.254, 0.625, 0.028)
La (0.254, 0.875, 0.528)
La (0.746, 0.125, 0.472)
La (0.746, 0.375, 0.972)
La (0.754, 0.625, 0.472)
La (0.754, 0.875, 0.972)
Ta (0.001, 0.624, 0.751)
Ta (0.001, 0.876, 0.251)
Ta (0.499, 0.124, 0.751)
Ta (0.499, 0.376, 0.251)
Ta (0.501, 0.624, 0.749)
Ta (0.501, 0.876, 0.249)
Ta (0.999, 0.124, 0.749)
Ta (0.999, 0.376, 0.249)
O (0.001, 0.124, 0.248)
O (0.001, 0.376, 0.748)
O (0.070, 0.124, 0.577)
O (0.070, 0.376, 0.077)
O (0.071, 0.627, 0.577)
O (0.071, 0.873, 0.077)
O (0.249, 0.130, 0.809)
O (0.249, 0.370, 0.309)
O (0.251, 0.630, 0.809)
O (0.251, 0.870, 0.309)
O (0.429, 0.127, 0.577)
O (0.429, 0.373, 0.077)
O (0.430, 0.624, 0.577)
O (0.430, 0.876, 0.077)
O (0.499, 0.624, 0.248)
O (0.499, 0.876, 0.748)
O (0.501, 0.124, 0.252)
O (0.501, 0.376, 0.752)
O (0.570, 0.124, 0.923)
O (0.570, 0.376, 0.423)
O (0.571, 0.627, 0.923)
O (0.571, 0.873, 0.423)
O (0.749, 0.130, 0.691)
O (0.749, 0.370, 0.191)
O (0.751, 0.630, 0.691)
O (0.751, 0.870, 0.191)
O (0.929, 0.127, 0.923)
O (0.929, 0.373, 0.423)
O (0.930, 0.624, 0.923)
O (0.930, 0.876, 0.423)
O (0.999, 0.624, 0.252)
O (0.999, 0.876, 0.752)

Largest 10 diffraction maxima, by angle, 10 to 80 degrees two-theta:
2θ (°)  I_rel
23.8  52
26.6  45
28.7  100
32.6  34
33.2  32
33.8  47
43.4  20
45.6  23
53.5  32
54.8  34

=====

Starting from a crystal structure in OQMD, relaxed with PBE, the powder X-ray diffraction pattern of GdEr2Bi3 was simulated for copper Kα.
Neutral-atom scattering factors, no anomalous dispersion.

Structural model:
Cell: 4.460 4.460 10.939 Å, 90.00 90.00 120.00°
Atoms (fractional coordinates):
Gd (0.000, 0.000, 0.000)
Er (0.333, 0.667, 0.334)
Er (0.667, 0.333, 0.666)
Bi (0.000, 0.000, 0.500)
Bi (0.333, 0.667, 0.830)
Bi (0.667, 0.333, 0.170)

Largest 9 diffraction maxima, by angle, 10 to 80 degrees two-theta:
2θ (°)  I_rel
24.4  3
28.3  100
40.4  78
47.8  2
50.1  28
58.5  13
64.4  1
66.2  37
73.5  28

=====

Starting from a crystal structure in OQMD, relaxed with PBE, the powder X-ray diffraction pattern of TlAg3F6 was simulated for copper Kα.
Neutral-atom scattering factors, no anomalous dispersion.

Structural model:
Cell: 6.150 6.150 6.150 Å, 60.00 60.00 60.00°
Atoms (fractional coordinates):
Tl (0.000, 0.000, 0.000)
Ag (0.250, 0.250, 0.250)
Ag (0.500, 0.500, 0.500)
Ag (0.750, 0.750, 0.750)
F (0.247, 0.247, 0.753)
F (0.247, 0.753, 0.247)
F (0.247, 0.753, 0.753)
F (0.753, 0.247, 0.247)
F (0.753, 0.247, 0.753)
F (0.753, 0.753, 0.247)

Largest 10 diffraction maxima, by angle, 10 to 80 degrees two-theta:
2θ (°)  I_rel
17.7  7
20.4  8
29.0  100
34.2  4
41.5  32
46.7  4
51.5  41
60.2  20
68.2  17
75.8  7

=====

Starting from a crystal structure in OQMD, relaxed with PBE, the powder X-ray diffraction pattern of AsIrS6 was simulated for copper Kα.
Neutral-atom scattering factors, no anomalous dispersion.

Structural model:
Cell: 6.097 6.097 6.097 Å, 60.00 60.00 60.00°
Atoms (fractional coordinates):
As (0.000, 0.000, 0.000)
Ir (0.250, 0.250, 0.250)
S (0.520, 0.520, 0.980)
S (0.520, 0.980, 0.520)
S (0.520, 0.980, 0.980)
S (0.980, 0.520, 0.520)
S (0.980, 0.520, 0.980)
S (0.980, 0.980, 0.520)

Largest 10 diffraction maxima, by angle, 10 to 80 degrees two-theta:
2θ (°)  I_rel
17.8  100
20.6  57
29.3  58
34.5  83
41.9  55
45.9  49
47.1  22
52.0  24
55.4  24
60.8  34

=====

Starting from a crystal structure in OQMD, relaxed with PBE, the powder X-ray diffraction pattern of HfZrTa2Ge2 was simulated for copper Kα.
Neutral-atom scattering factors, no anomalous dispersion.

Structural model:
Cell: 7.920 7.920 7.920 Å, 151.69 151.69 40.47°
Atoms (fractional coordinates):
Hf (0.000, 0.000, 0.000)
Zr (0.354, 0.354, 0.000)
Ta (0.177, 0.677, 0.500)
Ta (0.677, 0.177, 0.500)
Ge (0.542, 0.542, 0.000)
Ge (0.811, 0.811, 0.000)

Largest 10 diffraction maxima, by angle, 10 to 80 degrees two-theta:
2θ (°)  I_rel
11.9  37
34.9  100
36.3  34
38.2  20
40.9  74
46.9  45
60.2  15
60.7  30
68.5  14
79.3  19

=====

Starting from a crystal structure in OQMD, relaxed with PBE, the powder X-ray diffraction pattern of Cu2GeTe2S was simulated for copper Kα.
Neutral-atom scattering factors, no anomalous dispersion.

Structural model:
Cell: 7.131 7.131 7.131 Å, 145.57 59.19 133.41°
Atoms (fractional coordinates):
Cu (0.151, 0.000, 0.151)
Cu (0.849, 0.000, 0.849)
Ge (0.455, 0.955, 0.500)
Te (0.571, 0.242, 0.330)
Te (0.912, 0.242, 0.670)
S (0.231, 0.231, 0.000)

Largest 10 diffraction maxima, by angle, 10 to 80 degrees two-theta:
2θ (°)  I_rel
26.4  98
26.7  100
30.1  18
42.9  27
43.8  23
44.4  90
51.2  32
51.9  26
63.0  15
79.6  15

=====

Starting from a crystal structure in OQMD, relaxed with PBE, the powder X-ray diffraction pattern of NaLi3Cd4 was simulated for copper Kα.
Neutral-atom scattering factors, no anomalous dispersion.

Structural model:
Cell: 4.751 4.751 6.727 Å, 90.00 90.00 90.00°
Atoms (fractional coordinates):
Na (0.000, 0.000, 0.000)
Li (0.000, 0.500, 0.735)
Li (0.500, 0.000, 0.265)
Li (0.500, 0.500, 0.500)
Cd (0.000, 0.000, 0.500)
Cd (0.000, 0.500, 0.266)
Cd (0.500, 0.000, 0.734)
Cd (0.500, 0.500, 0.000)

Largest 10 diffraction maxima, by angle, 10 to 80 degrees two-theta:
2θ (°)  I_rel
22.9  88
29.7  1
32.6  1
37.9  100
44.7  43
54.6  16
60.0  17
68.4  32
73.2  12
76.2  1

=====

Starting from a crystal structure in OQMD, relaxed with PBE, the powder X-ray diffraction pattern of SrMgIn2Hg was simulated for copper Kα.
Neutral-atom scattering factors, no anomalous dispersion.

Structural model:
Cell: 7.221 7.221 7.221 Å, 142.42 142.42 54.20°
Atoms (fractional coordinates):
Sr (0.000, 0.000, 0.000)
Mg (0.621, 0.621, 0.000)
In (0.260, 0.760, 0.500)
In (0.760, 0.260, 0.500)
Hg (0.412, 0.412, 0.000)

Largest 10 diffraction maxima, by angle, 10 to 80 degrees two-theta:
2θ (°)  I_rel
13.8  31
20.3  25
28.3  31
30.5  100
38.7  43
39.2  35
40.1  25
55.9  15
56.9  18
65.0  23

=====

Starting from a crystal structure in OQMD, relaxed with PBE, the powder X-ray diffraction pattern of Pr12Re5C15 was simulated for copper Kα.
Neutral-atom scattering factors, no anomalous dispersion.

Structural model:
Cell: 11.078 11.078 5.390 Å, 90.00 90.00 120.00°
Atoms (fractional coordinates):
Pr (0.000, 0.422, 0.000)
Pr (0.000, 0.795, 0.000)
Pr (0.187, 0.729, 0.500)
Pr (0.205, 0.205, 0.000)
Pr (0.271, 0.458, 0.500)
Pr (0.422, 0.000, 0.000)
Pr (0.458, 0.271, 0.500)
Pr (0.542, 0.813, 0.500)
Pr (0.578, 0.578, 0.000)
Pr (0.729, 0.187, 0.500)
Pr (0.795, 0.000, 0.000)
Pr (0.813, 0.542, 0.500)
Re (0.000, 0.152, 0.500)
Re (0.152, 0.000, 0.500)
Re (0.333, 0.667, 0.000)
Re (0.667, 0.333, 0.000)
Re (0.848, 0.848, 0.500)
C (0.000, 0.327, 0.500)
C (0.000, 0.450, 0.500)
C (0.000, 0.794, 0.500)
C (0.189, 0.713, 0.000)
C (0.206, 0.206, 0.500)
C (0.287, 0.475, 0.000)
C (0.327, 0.000, 0.500)
C (0.450, 0.000, 0.500)
C (0.475, 0.287, 0.000)
C (0.525, 0.811, 0.000)
C (0.550, 0.550, 0.500)
C (0.673, 0.673, 0.500)
C (0.713, 0.189, 0.000)
C (0.794, 0.000, 0.500)
C (0.811, 0.525, 0.000)

Largest 10 diffraction maxima, by angle, 10 to 80 degrees two-theta:
2θ (°)  I_rel
16.0  9
18.9  11
29.7  100
32.6  26
33.2  41
33.7  43
36.5  18
48.1  31
57.2  16
66.2  9

=====

Repeat the seventh record exactly.
Starting from a crystal structure in OQMD, relaxed with PBE, the powder X-ray diffraction pattern of AsIrS6 was simulated for copper Kα.
Neutral-atom scattering factors, no anomalous dispersion.

Structural model:
Cell: 6.097 6.097 6.097 Å, 60.00 60.00 60.00°
Atoms (fractional coordinates):
As (0.000, 0.000, 0.000)
Ir (0.250, 0.250, 0.250)
S (0.520, 0.520, 0.980)
S (0.520, 0.980, 0.520)
S (0.520, 0.980, 0.980)
S (0.980, 0.520, 0.520)
S (0.980, 0.520, 0.980)
S (0.980, 0.980, 0.520)

Largest 10 diffraction maxima, by angle, 10 to 80 degrees two-theta:
2θ (°)  I_rel
17.8  100
20.6  57
29.3  58
34.5  83
41.9  55
45.9  49
47.1  22
52.0  24
55.4  24
60.8  34

=====

Please write out number 1 again, unchanged.
Starting from a crystal structure in OQMD, relaxed with PBE, the powder X-ray diffraction pattern of PmPrS2Cl2 was simulated for copper Kα.
Neutral-atom scattering factors, no anomalous dispersion.

Structural model:
Cell: 4.870 4.870 6.807 Å, 90.00 90.00 90.00°
Atoms (fractional coordinates):
Pm (0.000, 0.000, 0.000)
Pr (0.500, 0.500, 0.598)
S (0.000, 0.500, 0.804)
S (0.500, 0.000, 0.804)
Cl (0.000, 0.000, 0.399)
Cl (0.500, 0.500, 0.196)

Largest 10 diffraction maxima, by angle, 10 to 80 degrees two-theta:
2θ (°)  I_rel
13.0  16
22.4  100
25.9  58
32.1  43
36.9  47
37.1  41
43.6  36
44.0  18
48.0  18
49.7  24